Diffraction record for TiCo3O8. The X-ray powder pattern is theoretical, not measured: it uses DFT lattice parameters and positions (PBE+U) and Cu Kα.

Top 10 peaks for 5 to 70 degrees two-theta, in order of falling intensity:
| 2theta | intensity | index |
| --- | --- | --- |
| 17.8 | 100 | 0 0 3 |
| 43.6 | 39 | 0 2 4 |
| 36.6 | 27 | 0 2 1 |
| 56.7 | 14 | 0 2 7 |
| 67.8 | 12 | 2 2 3 |
| 64.9 | 11 | 2 2 0 |
| 62.0 | 8 | 2 0 8 |
| 47.5 | 6 | 2 0 5 |
| 38.1 | 6 | 2 0 2 |
| 36.0 | 4 | 0 0 6 |

Structural model:
a b c (Å): 5.7505 5.7505 14.9870
angles (deg): 90.00 90.00 120.00
Space group R3m (No. 160, hexagonal axes)
One atom of each set of equivalent atoms:
Ti1 0.0000 0.0000 0.0000 x3
Co1 0.0014 0.5007 0.0184 x9
O1 0.0000 0.0000 0.2876 x3
O2 0.0000 0.0000 0.7483 x3
O3 0.0178 0.5089 0.2845 x9
O4 0.1708 0.3415 0.0780 x9

=====

Diffraction record for UTiCoO6. The X-ray powder pattern is theoretical, not measured: it uses DFT lattice parameters and positions (PBE+U) and Cu Kα.

Top 10 peaks for 5 to 70 degrees two-theta, in order of falling intensity:
| 2theta | intensity | index |
| --- | --- | --- |
| 21.6 | 100 | 1 0 1 |
| 27.9 | 100 | 1 0 2 |
| 33.4 | 64 | 1 1 0 |
| 53.8 | 57 | 1 1 4 |
| 39.3 | 50 | 1 1 2 |
| 20.1 | 45 | 0 0 2 |
| 36.1 | 32 | 1 0 3 |
| 44.1 | 28 | 2 0 2 |
| 56.4 | 27 | 2 1 2 |
| 40.2 | 25 | 2 0 1 |

Structural model:
a b c (Å): 5.3591 5.3591 8.8263
angles (deg): 90.00 90.00 120.00
Space group P-31c (No. 163)
One atom of each set of equivalent atoms:
U1 0.3333 0.6667 0.2500 x2
Ti1 0.3333 0.6667 0.7500 x2
Co1 0.0000 0.0000 0.0000 x2
O1 0.0153 0.3536 0.6328 x12

=====

Diffraction record for TiVCoO6. The X-ray powder pattern is theoretical, not measured: it uses DFT lattice parameters and positions (PBE+U) and Cu Kα.

Top 10 peaks for 5 to 70 degrees two-theta, in order of falling intensity:
| 2theta | intensity | index |
| --- | --- | --- |
| 27.7 | 100 | 1 1 0 |
| 55.2 | 57 | 2 1 3 |
| 36.8 | 49 | 1 0 3 |
| 70.0 | 20 | 3 0 3 |
| 57.2 | 17 | 2 2 0 |
| 42.0 | 15 | 1 1 3 |
| 64.7 | 9 | 3 1 0 |
| 39.6 | 9 | 2 0 0 |
| 64.5 | 7 | 0 0 6 |
| 44.5 | 5 | 2 1 0 |

Structural model:
a b c (Å): 4.5562 4.5562 8.6661
angles (deg): 90.00 90.00 90.00
Space group P4_2nm (No. 102)
One atom of each set of equivalent atoms:
Ti1 0.0000 0.0000 0.0000 x2
V1 0.0000 0.0000 0.3379 x2
Co1 0.0000 0.0000 0.6769 x2
O1 0.1892 0.1892 0.5085 x4
O2 0.1992 0.1992 0.1863 x4
O3 0.1992 0.1992 0.8436 x4

=====

Diffraction record for Tl2CoO. The X-ray powder pattern is theoretical, not measured: it uses DFT lattice parameters and positions (PBE+U) and Cu Kα.

Top 10 peaks for 5 to 70 degrees two-theta, in order of falling intensity:
| 2theta | intensity | index |
| --- | --- | --- |
| 32.6 | 100 | 1 1 2 |
| 25.6 | 50 | 2 0 0 |
| 49.8 | 45 | 3 1 2 |
| 36.5 | 42 | 2 2 0 |
| 31.8 | 26 | 2 1 1 |
| 62.2 | 20 | 2 0 4 |
| 68.9 | 12 | 4 3 1 |
| 41.2 | 11 | 3 0 1 |
| 52.5 | 11 | 4 0 0 |
| 49.1 | 11 | 3 2 1 |

Structural model:
a b c (Å): 6.9672 6.9672 6.6033
angles (deg): 90.00 90.00 90.00
Space group I-42d (No. 122)
One atom of each set of equivalent atoms:
Tl1 0.2054 0.2500 0.1250 x8
Co1 0.0000 0.0000 0.5000 x4
O1 0.0000 0.0000 0.0000 x4

=====

Diffraction record for TlCo4O8. The X-ray powder pattern is theoretical, not measured: it uses DFT lattice parameters and positions (PBE+U) and Cu Kα.

Top 10 peaks for 5 to 70 degrees two-theta, in order of falling intensity:
| 2theta | intensity | index |
| --- | --- | --- |
| 35.7 | 100 | 3 1 1 |
| 21.3 | 48 | 2 0 0 |
| 57.4 | 42 | 5 1 1 |
| 30.3 | 40 | 2 2 0 |
| 18.4 | 36 | 1 1 1 |
| 63.1 | 30 | 4 4 0 |
| 37.3 | 20 | 2 2 2 |
| 48.8 | 18 | 4 2 0 |
| 47.5 | 15 | 3 3 1 |
| 53.8 | 14 | 4 2 2 |

Structural model:
a b c (Å): 8.3404 8.3404 8.3404
angles (deg): 90.00 90.00 90.00
Space group F-43m (No. 216)
One atom of each set of equivalent atoms:
Tl1 0.0000 0.0000 0.0000 x4
Co1 0.1211 0.1211 0.3789 x16
O1 0.1046 0.1046 0.6046 x16
O2 0.1465 0.1465 0.1465 x16

=====

Diffraction record for UTlCo2O8. The X-ray powder pattern is theoretical, not measured: it uses DFT lattice parameters and positions (PBE+U) and Cu Kα.

Top 10 peaks for 5 to 70 degrees two-theta, in order of falling intensity:
| 2theta | intensity | index |
| --- | --- | --- |
| 25.6 | 100 | 2 0 0 |
| 32.8 | 85 | 1 1 2 |
| 49.9 | 66 | 3 1 2 |
| 18.6 | 59 | 1 0 1 |
| 36.6 | 26 | 2 2 0 |
| 31.8 | 20 | 2 1 1 |
| 63.4 | 19 | 3 3 2 |
| 62.5 | 16 | 2 0 4 |
| 52.7 | 16 | 4 0 0 |
| 59.5 | 16 | 4 2 0 |

Structural model:
a b c (Å): 6.9526 6.9526 6.5754
angles (deg): 90.00 90.00 90.00
Space group I-4m2 (No. 119)
One atom of each set of equivalent atoms:
U1 0.0000 0.0000 0.0000 x2
Tl1 0.0000 0.5000 0.7500 x2
Co1 0.0000 0.0000 0.5000 x2
Co2 0.0000 0.5000 0.2500 x2
O1 0.0000 0.1713 0.6961 x8
O2 0.0000 0.3006 0.0626 x8

=====

Diffraction record for VCoO. The X-ray powder pattern is theoretical, not measured: it uses DFT lattice parameters and positions (PBE+U) and Cu Kα.

Top 10 peaks for 5 to 70 degrees two-theta, in order of falling intensity:
| 2theta | intensity | index |
| --- | --- | --- |
| 43.8 | 100 | 2 0 0 |
| 41.4 | 97 | 1 1 1 |
| 33.9 | 81 | 0 1 1 |
| 39.6 | 79 | 1 1 -1 |
| 40.1 | 48 | 1 0 2 |
| 36.3 | 47 | 1 0 -2 |
| 57.9 | 35 | 2 1 1 |
| 50.6 | 32 | 1 0 -3 |
| 15.5 | 28 | 0 0 1 |
| 57.3 | 27 | 0 1 3 |

Structural model:
a b c (Å): 4.1529 2.9828 5.7557
angles (deg): 90.00 95.93 90.00
Space group Pm (No. 6)
One atom of each set of equivalent atoms:
V1 0.0000 0.0000 0.0000 x1
V2 0.4097 0.0000 0.4044 x1
Co1 0.4637 0.5000 0.8075 x1
Co2 0.9423 0.5000 0.5877 x1
O1 0.0941 0.5000 0.2593 x1
O2 0.5271 0.0000 0.0498 x1

=====

Diffraction record for YCo2O4. The X-ray powder pattern is theoretical, not measured: it uses DFT lattice parameters and positions (PBE+U) and Cu Kα.

Top 10 peaks for 5 to 70 degrees two-theta, in order of falling intensity:
| 2theta | intensity | index |
| --- | --- | --- |
| 36.9 | 100 | 1 2 1 |
| 31.9 | 37 | 1 0 3 |
| 60.1 | 35 | 2 2 4 |
| 29.0 | 27 | 1 1 2 |
| 49.7 | 23 | 1 0 5 |
| 55.0 | 14 | 3 1 2 |
| 56.8 | 13 | 3 0 3 |
| 66.5 | 7 | 4 0 0 |
| 66.7 | 6 | 2 0 6 |
| 61.9 | 4 | 1 1 6 |

Structural model:
a b c (Å): 5.6247 5.6247 9.7047
angles (deg): 90.00 90.00 90.00
Space group I4_1/a (No. 88, origin choice 2)
One atom of each set of equivalent atoms:
Y1 0.0000 0.2500 0.1250 x4
Co1 0.0000 0.0000 0.5000 x8
O1 0.1471 0.4630 0.3223 x16

=====

Diffraction record for YCoO3. The X-ray powder pattern is theoretical, not measured: it uses DFT lattice parameters and positions (PBE+U) and Cu Kα.

Top 10 peaks for 5 to 70 degrees two-theta, in order of falling intensity:
| 2theta | intensity | index |
| --- | --- | --- |
| 33.0 | 100 | 1 1 2 |
| 30.0 | 69 | 1 1 1 |
| 51.2 | 58 | 3 0 0 |
| 31.4 | 39 | 0 0 4 |
| 61.3 | 32 | 3 0 4 |
| 28.9 | 28 | 1 1 0 |
| 43.2 | 25 | 1 1 4 |
| 56.9 | 22 | 1 1 6 |
| 62.3 | 17 | 2 2 2 |
| 49.7 | 13 | 1 1 5 |

Structural model:
a b c (Å): 6.1782 6.1782 11.4099
angles (deg): 90.00 90.00 120.00
Space group P6_3cm (No. 185)
One atom of each set of equivalent atoms:
Y1 0.0000 0.0000 0.0000 x2
Y2 0.3333 0.6667 0.4554 x4
Co1 0.0000 0.3341 0.2240 x6
O1 0.0000 0.0000 0.2064 x2
O2 0.0000 0.3079 0.3890 x6
O3 0.0000 0.3582 0.0641 x6
O4 0.3333 0.6667 0.2462 x4